(1)
Computed powder diffractogram of TbErIrRu for Cu Kα X-rays, from a PBE-relaxed structure.

Peak list (6 most intense, 15° ≤ 2θ ≤ 90°, by angle)
d 3.931, I 44
d 2.407, I 1000
d 2.053, I 25
d 1.702, I 175
d 1.390, I 357
d 1.204, I 112

Structural model:
Unit cell a=4.8142 b=4.8142 c=4.8142 alpha=60.00 beta=60.00 gamma=60.00
Sites, in units of the cell vectors:
Tb1 0.0000 0.0000 0.0000
Er1 0.5000 0.5000 0.5000
Ir1 0.7500 0.7500 0.7500
Ru1 0.2500 0.2500 0.2500

---

(2)
Computed powder diffractogram of Th2MnMoN6 for Cu Kα X-rays, from a PBE-relaxed structure.

Peak list (6 most intense, 15° ≤ 2θ ≤ 90°, by angle)
d 3.884, I 224
d 2.822, I 1000
d 2.746, I 468
d 2.283, I 222
d 1.942, I 237
d 1.600, I 377

Structural model:
Unit cell a=5.4926 b=5.4926 c=4.1074 alpha=90.00 beta=90.00 gamma=90.00
Sites, in units of the cell vectors:
Th1 0.0000 0.5000 0.0000
Th2 0.5000 0.0000 0.0000
Mn1 0.0000 0.0000 0.5663
Mo1 0.5000 0.5000 0.5391
N1 0.0000 0.0000 0.1106
N2 0.2478 0.2478 0.6189
N3 0.2478 0.7522 0.6189
N4 0.5000 0.5000 0.0877
N5 0.7522 0.2478 0.6189
N6 0.7522 0.7522 0.6189

---

(3)
Computed powder diffractogram of Na2UBr6 for Cu Kα X-rays, from a PBE-relaxed structure.

Peak list (6 most intense, 15° ≤ 2θ ≤ 90°, by angle)
d 5.707, I 587
d 4.243, I 256
d 3.527, I 267
d 3.212, I 1000
d 2.468, I 726
d 2.115, I 482

Structural model:
Unit cell a=12.6905 b=12.6905 c=6.6781 alpha=90.00 beta=90.00 gamma=120.00
Sites, in units of the cell vectors:
Na1 0.0000 0.3382 0.0000
Na2 0.0000 0.6618 0.0000
Na3 0.3382 0.0000 0.0000
Na4 0.3382 0.3382 0.0000
Na5 0.6618 0.0000 0.0000
Na6 0.6618 0.6618 0.0000
U1 0.0000 0.0000 0.0000
U2 0.3333 0.6667 0.4975
U3 0.6667 0.3333 0.5025
Br1 0.1050 0.2100 0.2354
Br2 0.1050 0.8950 0.2354
Br3 0.1245 0.5623 0.2559
Br4 0.2100 0.1050 0.7646
Br5 0.2286 0.4572 0.7350
Br6 0.2286 0.7714 0.7350
Br7 0.4377 0.5623 0.2559
Br8 0.4377 0.8755 0.2559
Br9 0.4572 0.2286 0.2650
Br10 0.5428 0.7714 0.7350
Br11 0.5623 0.1245 0.7441
Br12 0.5623 0.4377 0.7441
Br13 0.7714 0.2286 0.2650
Br14 0.7714 0.5428 0.2650
Br15 0.7900 0.8950 0.2354
Br16 0.8755 0.4377 0.7441
Br17 0.8950 0.1050 0.7646
Br18 0.8950 0.7900 0.7646

---

(4)
Computed powder diffractogram of YHo2Sc2 for Cu Kα X-rays, from a PBE-relaxed structure.

Peak list (6 most intense, 15° ≤ 2θ ≤ 90°, by angle)
d 2.876, I 1000
d 2.765, I 569
d 2.672, I 560
d 2.592, I 586
d 2.344, I 524
d 1.466, I 473

Structural model:
Unit cell a=13.9670 b=6.9152 c=5.9846 alpha=90.00 beta=98.14 gamma=90.00
Sites, in units of the cell vectors:
Y1 0.1964 0.1231 0.1497
Y2 0.1964 0.3769 0.6497
Y3 0.8036 0.6231 0.3503
Y4 0.8036 0.8769 0.8503
Ho1 0.1970 0.6272 0.1465
Ho2 0.1970 0.8728 0.6465
Ho3 0.4018 0.1240 0.8797
Ho4 0.4018 0.3760 0.3797
Ho5 0.5982 0.6240 0.6203
Ho6 0.5982 0.8760 0.1203
Ho7 0.8030 0.1272 0.3535
Ho8 0.8030 0.3728 0.8535
Sc1 0.9998 0.1249 0.7482
Sc2 0.9998 0.3751 0.2482
Sc3 0.0002 0.6249 0.7518
Sc4 0.0002 0.8751 0.2518
Sc5 0.4003 0.6261 0.8858
Sc6 0.4003 0.8739 0.3858
Sc7 0.5997 0.1261 0.6142
Sc8 0.5997 0.3739 0.1142

---

(5)
Computed powder diffractogram of BaNa2Hf3O8 for Cu Kα X-rays, from a PBE-relaxed structure.

Peak list (6 most intense, 15° ≤ 2θ ≤ 90°, by angle)
d 3.495, I 499
d 2.864, I 595
d 2.798, I 1000
d 2.699, I 487
d 2.389, I 458
d 1.890, I 450

Structural model:
Unit cell a=7.0236 b=7.0236 c=7.0236 alpha=55.53 beta=55.53 gamma=55.53
Sites, in units of the cell vectors:
Ba1 0.0000 0.0000 0.0000
Na1 0.3716 0.3716 0.3716
Na2 0.7630 0.7630 0.7630
Hf1 0.3724 0.3724 0.8676
Hf2 0.3724 0.8676 0.3724
Hf3 0.8676 0.3724 0.3724
O1 0.1220 0.1220 0.5526
O2 0.1220 0.5526 0.1220
O3 0.1444 0.1444 0.1444
O4 0.1814 0.6248 0.6248
O5 0.5526 0.1220 0.1220
O6 0.6010 0.6010 0.6010
O7 0.6248 0.1814 0.6248
O8 0.6248 0.6248 0.1814